Structure and simulated powder X-ray diffraction pattern of NdGd2Ta2N6 (a PBE-relaxed structure; Cu Kα X-rays).
Lines closer than 0.1° are merged.

Largest 8 diffraction maxima, low angle first, 2θ from 15° to 90°:
2theta, intensity
18.33, 11.8
31.39, 63.1
32.06, 100.0
44.99, 30.0
47.94, 11.7
56.30, 41.6
57.56, 11.9
74.45, 10.9

Structural model:
a b c (Å): 10.090 10.090 10.090
angles (deg): 156.96 156.96 32.81
Atoms (fractional coordinates):
Nd  0.000  0.000  0.000
Gd  0.179  0.179  0.000
Gd  0.821  0.821  0.000
Ta  0.397  0.397  0.000
Ta  0.603  0.603  0.000
N  0.086  0.586  0.500
N  0.297  0.297  0.000
N  0.414  0.914  0.500
N  0.586  0.086  0.500
N  0.703  0.703  0.000
N  0.914  0.414  0.500